Computed X-ray diffraction stick pattern of La7Pr3Mg for copper Kα, from a PBE-relaxed structure.
Peak positions follow from Bragg's law for the DFT cell and can differ from measured ones.

Cell and atoms:
```
La7Pr3Mg
1.0
5.8805 -5.2782 0.0000
5.8805 5.2782 0.0000
-0.0056 0.0000 6.6132
La Pr Mg
7 3 1
Cartesian
0.0000 0.0000 0.0000
2.5951 1.8135 4.8106
3.0521 0.0000 1.3664
2.5951 -1.8135 4.8106
9.1601 1.8135 1.8026
8.7031 0.0000 5.2468
9.1601 -1.8135 1.8026
5.8805 1.7629 0.0000
5.8776 0.0000 3.3066
5.8805 -1.7629 0.0000
-0.0028 0.0000 3.3066
```

Most intense lines, 10° ≤ 2θ ≤ 80°, in order of falling intensity:
29.7°, intensity 100
31.0°, intensity 83
36.9°, intensity 47
30.4°, intensity 41
54.4°, intensity 26
61.8°, intensity 23
49.4°, intensity 19
48.5°, intensity 19
20.2°, intensity 16
26.4°, intensity 16

Computed X-ray diffraction stick pattern of La4Pr4Mg for copper Kα, from a PBE-relaxed structure.
Peak positions follow from Bragg's law for the DFT cell and can differ from measured ones.

Cell and atoms:
```
La4Pr4Mg
1.0
4.9780 -2.8783 0.0000
4.9780 2.8783 0.0000
-3.3280 0.0000 11.3222
La Pr Mg
4 4 1
Cartesian
0.0069 0.0000 2.5636
-0.0149 0.0000 10.4923
6.6430 0.0000 0.8298
6.6212 0.0000 8.7586
-0.0115 0.0000 6.8261
3.3272 0.0000 2.5526
3.3009 0.0000 8.7696
6.6396 0.0000 4.4961
3.3140 0.0000 5.6611
```

Most intense lines, 10° ≤ 2θ ≤ 80°, in order of falling intensity:
31.1°, intensity 100
27.6°, intensity 53
31.9°, intensity 45
55.3°, intensity 19
55.8°, intensity 18
45.1°, intensity 17
53.2°, intensity 17
42.1°, intensity 17
58.5°, intensity 16
64.8°, intensity 12

Computed X-ray diffraction stick pattern of La4Pr8Mg for copper Kα, from a PBE-relaxed structure.
Peak positions follow from Bragg's law for the DFT cell and can differ from measured ones.

Cell and atoms:
```
La4Pr8Mg
1.0
5.9312 3.4244 3.9563
-5.9312 3.4244 3.9563
0.0000 -6.8488 3.9563
La Pr Mg
4 8 1
Cartesian
0.0000 0.0000 0.0000
-2.9656 -1.7122 3.9563
-2.9656 1.7122 7.9126
0.0000 3.4244 3.9563
0.0000 -3.4526 3.9173
-2.9901 1.7263 3.9173
0.0000 0.0000 2.8481
-2.9901 -1.7263 7.9516
2.9901 1.7263 3.9173
0.0000 0.0000 9.0208
2.9901 -1.7263 7.9516
0.0000 3.4526 7.9516
0.0000 0.0000 5.9344
```

Most intense lines, 10° ≤ 2θ ≤ 80°, in order of falling intensity:
30.1°, intensity 100
37.9°, intensity 64
22.5°, intensity 41
53.5°, intensity 24
58.8°, intensity 18
62.6°, intensity 17
55.9°, intensity 16
27.1°, intensity 12
67.5°, intensity 12
79.5°, intensity 10

Computed X-ray diffraction stick pattern of La5Pr6Mg2 for copper Kα, from a PBE-relaxed structure.
Peak positions follow from Bragg's law for the DFT cell and can differ from measured ones.

Cell and atoms:
```
La5Pr6Mg2
1.0
10.8846 0.0000 0.0000
0.0000 23.3683 0.0000
0.0000 0.0000 3.6210
La Pr Mg
10 12 4
Cartesian
0.0000 0.0000 0.0000
0.9031 5.8860 0.0000
1.8668 11.7702 0.0000
3.5755 0.0861 0.0000
4.5392 17.5701 0.0000
5.4423 11.6842 0.0000
6.3454 5.7982 0.0000
7.3092 23.2822 0.0000
9.0178 11.5981 0.0000
9.9815 17.4823 0.0000
0.1650 9.0445 1.8105
1.6108 2.7223 1.8105
1.8355 20.1926 0.0000
3.6068 8.5084 0.0000
3.8316 14.4064 1.8105
5.2773 20.7287 1.8105
5.6074 2.6396 1.8105
7.0531 8.9619 1.8105
7.2779 14.8599 0.0000
9.0491 3.1757 0.0000
9.2739 20.6460 1.8105
10.7196 14.3238 1.8105
1.8152 17.2262 1.8105
3.6271 5.5421 1.8105
7.2575 17.8263 1.8105
9.0694 6.1421 1.8105
```

Most intense lines, 10° ≤ 2θ ≤ 80°, in order of falling intensity:
27.1°, intensity 100
30.6°, intensity 65
31.2°, intensity 58
29.0°, intensity 55
31.8°, intensity 50
35.2°, intensity 31
35.4°, intensity 31
50.0°, intensity 23
33.4°, intensity 21
62.0°, intensity 19

Computed X-ray diffraction stick pattern of La2Pr4SmMg for copper Kα, from a PBE-relaxed structure.
Peak positions follow from Bragg's law for the DFT cell and can differ from measured ones.

Cell and atoms:
```
La2Pr4SmMg
1.0
5.9747 0.0000 0.0000
0.0000 5.9849 0.0000
0.0000 0.0000 7.6732
La Pr Sm Mg
2 4 1 1
Cartesian
0.0000 0.0000 0.0000
2.9873 2.9925 3.8366
0.0000 2.9925 1.7855
0.0000 2.9925 5.8878
2.9873 0.0000 1.7853
2.9873 0.0000 5.8879
0.0000 0.0000 3.8366
2.9873 2.9925 0.0000
```

Most intense lines, 10° ≤ 2θ ≤ 80°, in order of falling intensity:
31.5°, intensity 100
29.9°, intensity 59
54.1°, intensity 43
42.8°, intensity 22
57.0°, intensity 17
65.7°, intensity 11
70.4°, intensity 10
71.3°, intensity 9
47.4°, intensity 7
24.0°, intensity 7

Computed X-ray diffraction stick pattern of La4PrSm2Mg for copper Kα, from a PBE-relaxed structure.
Peak positions follow from Bragg's law for the DFT cell and can differ from measured ones.

Cell and atoms:
```
La4PrSm2Mg
1.0
5.9516 0.0000 0.0000
0.0000 5.9548 0.0000
0.0000 0.0000 7.8428
La Pr Sm Mg
4 1 2 1
Cartesian
0.0000 0.0000 1.8081
0.0000 0.0000 6.0347
2.9758 2.9774 1.8188
2.9758 2.9774 6.0240
0.0000 2.9774 3.9214
0.0000 2.9774 0.0000
2.9758 0.0000 3.9214
2.9758 0.0000 0.0000
```

Most intense lines, 10° ≤ 2θ ≤ 80°, in order of falling intensity:
31.2°, intensity 100
30.0°, intensity 57
54.0°, intensity 42
43.0°, intensity 21
56.2°, intensity 19
65.0°, intensity 11
46.3°, intensity 11
70.8°, intensity 10
71.4°, intensity 9
62.4°, intensity 7

Computed X-ray diffraction stick pattern of La2Pr2Sm2Mg for copper Kα, from a PBE-relaxed structure.
Peak positions follow from Bragg's law for the DFT cell and can differ from measured ones.

Cell and atoms:
```
La2Pr2Sm2Mg
1.0
5.9542 -1.7824 0.0000
5.9542 1.7824 0.0000
-4.2617 0.0000 11.2957
La Pr Sm Mg
2 2 2 1
Cartesian
1.2432 0.0000 4.0781
6.4035 0.0000 7.2176
4.3289 0.0000 2.6582
3.3179 0.0000 8.6375
0.0485 0.0000 10.3937
7.5983 0.0000 0.9020
-2.1308 0.0000 5.6479
```

Most intense lines, 10° ≤ 2θ ≤ 80°, in order of falling intensity:
32.2°, intensity 100
30.0°, intensity 95
30.2°, intensity 78
34.6°, intensity 74
33.1°, intensity 60
26.2°, intensity 47
28.2°, intensity 42
51.4°, intensity 39
62.4°, intensity 33
53.0°, intensity 28

Computed X-ray diffraction stick pattern of LaPr5Sm2Mg for copper Kα, from a PBE-relaxed structure.
Peak positions follow from Bragg's law for the DFT cell and can differ from measured ones.

Cell and atoms:
```
LaPr5Sm2Mg
1.0
2.8276 -10.1502 0.0000
2.8276 10.1502 0.0000
0.0000 0.0000 11.0009
La Pr Sm Mg
2 10 4 2
Cartesian
2.8276 6.0993 5.5005
2.8276 -6.0993 0.0000
2.8276 9.8877 5.4971
2.8276 4.2797 2.2079
2.8276 4.2920 8.7894
2.8276 2.4051 5.4971
2.8276 0.0031 2.7407
2.8276 -0.0031 8.2412
2.8276 -2.4051 10.9975
2.8276 -4.2920 3.2890
2.8276 -4.2797 7.7084
2.8276 -9.8877 10.9975
2.8276 7.8280 2.3154
2.8276 7.8336 8.6808
2.8276 -7.8336 3.1803
2.8276 -7.8280 7.8159
2.8276 1.9127 10.9884
2.8276 -1.9127 5.4879
```

Most intense lines, 10° ≤ 2θ ≤ 80°, in order of falling intensity:
31.6°, intensity 100
29.4°, intensity 30
56.3°, intensity 17
32.6°, intensity 12
27.6°, intensity 12
46.0°, intensity 9
59.9°, intensity 9
58.3°, intensity 8
49.4°, intensity 8
26.2°, intensity 8

Computed X-ray diffraction stick pattern of La2TbPrMg for copper Kα, from a PBE-relaxed structure.
Peak positions follow from Bragg's law for the DFT cell and can differ from measured ones.

Cell and atoms:
```
La2TbPrMg
1.0
6.8107 0.0000 0.0000
0.0000 5.6905 0.0000
-2.0061 0.0000 8.6618
La Tb Pr Mg
4 2 2 2
Cartesian
-0.4030 1.4226 3.0895
0.6683 4.2678 0.6039
4.1363 1.4226 8.0579
5.2075 4.2678 5.5723
1.6986 4.2678 3.8223
3.1060 1.4226 4.8395
2.8660 1.4226 1.2952
1.9386 4.2678 7.3666
0.2830 1.4226 6.4693
4.5215 4.2678 2.1925
```

Most intense lines, 10° ≤ 2θ ≤ 80°, in order of falling intensity:
30.9°, intensity 100
31.3°, intensity 72
31.4°, intensity 36
44.6°, intensity 24
26.9°, intensity 24
55.7°, intensity 19
56.5°, intensity 16
55.9°, intensity 14
44.5°, intensity 14
54.6°, intensity 14

Computed X-ray diffraction stick pattern of La2Pr5YMg for copper Kα, from a PBE-relaxed structure.
Peak positions follow from Bragg's law for the DFT cell and can differ from measured ones.

Cell and atoms:
```
La2Pr5YMg
1.0
2.8326 -10.1465 0.0000
2.8326 10.1465 0.0000
0.0000 0.0000 11.0155
La Pr Y Mg
4 10 2 2
Cartesian
2.8326 7.7907 5.9642
2.8326 7.7907 10.5590
2.8326 -7.7907 0.4565
2.8326 -7.7907 5.0513
2.8326 9.8426 2.7539
2.8326 4.3126 6.0778
2.8326 4.3126 10.4455
2.8326 2.4279 2.7539
2.8326 0.0000 0.0000
2.8326 0.0000 5.5078
2.8326 -2.4279 8.2616
2.8326 -4.3126 0.5700
2.8326 -4.3126 4.9377
2.8326 -9.8426 8.2616
2.8326 6.0682 2.7539
2.8326 -6.0682 8.2616
2.8326 1.9393 8.2616
2.8326 -1.9393 2.7539
```

Most intense lines, 10° ≤ 2θ ≤ 80°, in order of falling intensity:
31.6°, intensity 100
29.3°, intensity 31
56.3°, intensity 16
27.6°, intensity 12
26.1°, intensity 12
32.5°, intensity 12
59.8°, intensity 9
46.0°, intensity 9
49.4°, intensity 8
58.3°, intensity 8

Computed X-ray diffraction stick pattern of La2Pr4Y2Mg for copper Kα, from a PBE-relaxed structure.
Peak positions follow from Bragg's law for the DFT cell and can differ from measured ones.

Cell and atoms:
```
La2Pr4Y2Mg
1.0
6.5619 0.0000 0.0000
2.1012 6.2250 0.0000
1.0420 0.8667 7.6755
La Pr Y Mg
2 4 2 1
Cartesian
2.5549 2.1801 2.1461
7.1501 4.9116 5.5293
2.5699 2.2870 5.5181
3.9181 5.2483 3.2905
5.7870 1.8434 4.3850
7.1352 4.8048 2.1574
3.8122 5.3264 7.1572
5.8929 1.7654 0.5183
3.2810 0.0000 0.0000
```

Most intense lines, 10° ≤ 2θ ≤ 80°, in order of falling intensity:
28.9°, intensity 100
34.1°, intensity 41
26.3°, intensity 40
31.2°, intensity 32
32.8°, intensity 32
36.3°, intensity 25
33.3°, intensity 25
28.7°, intensity 24
28.5°, intensity 22
11.5°, intensity 15

Computed X-ray diffraction stick pattern of La2Mg3Pt4 for copper Kα, from a PBE-relaxed structure.
Peak positions follow from Bragg's law for the DFT cell and can differ from measured ones.

Cell and atoms:
```
La2Mg3Pt4
1.0
2.9246 -8.3474 0.0000
2.9246 8.3474 0.0000
0.0000 0.0000 7.6258
La Mg Pt
4 6 8
Cartesian
2.9246 6.5820 6.9705
2.9246 1.7655 3.1576
2.9246 -1.7655 4.4683
2.9246 -6.5820 0.6554
0.0000 0.0000 3.8129
1.4623 3.8068 5.7194
1.4623 -3.8068 1.9065
2.9246 0.0000 0.0000
4.3869 3.8068 5.7194
4.3869 -3.8068 1.9065
2.9246 5.4972 4.0778
1.4623 1.0972 5.7194
1.4623 -1.0972 1.9065
2.9246 2.8502 0.2649
2.9246 -2.8502 7.3609
4.3869 1.0972 5.7194
4.3869 -1.0972 1.9065
2.9246 -5.4972 3.5480
```

Most intense lines, 10° ≤ 2θ ≤ 80°, in order of falling intensity:
38.8°, intensity 100
33.0°, intensity 82
34.6°, intensity 79
37.0°, intensity 75
24.3°, intensity 50
25.0°, intensity 44
40.1°, intensity 40
25.7°, intensity 38
53.2°, intensity 34
21.3°, intensity 34

Computed X-ray diffraction stick pattern of LaMgSc2Pt2 for copper Kα, from a PBE-relaxed structure.
Peak positions follow from Bragg's law for the DFT cell and can differ from measured ones.

Cell and atoms:
```
LaMgSc2Pt2
1.0
4.7601 0.0000 0.0000
-2.3801 4.1224 0.0000
0.0000 0.0000 6.7534
La Mg Sc Pt
1 1 2 2
Cartesian
0.0000 0.0000 0.0000
0.0000 0.0000 3.3767
0.0000 2.7483 4.4927
2.3801 1.3741 2.2607
0.0000 2.7483 1.8100
2.3801 1.3741 4.9434
```

Most intense lines, 10° ≤ 2θ ≤ 80°, in order of falling intensity:
25.3°, intensity 100
37.8°, intensity 77
34.3°, intensity 69
61.0°, intensity 28
45.9°, intensity 22
52.0°, intensity 21
46.0°, intensity 21
66.0°, intensity 20
68.1°, intensity 15
46.7°, intensity 14